Structure and calculated powder diffraction line list of La2AsS4 (the GGA-PBE geometry in Alexandria; Cu Kα (λ = 1.5418 Å)).
Neutral-atom scattering factors, no anomalous dispersion.

Largest 12 diffraction maxima, in order of rising 2θ, 2θ from 15° to 90°:
2theta  I/Imax
19.8  83
26.0  66
26.1  32
28.2  100
29.5  33
29.9  46
32.8  61
33.2  75
35.9  29
40.3  59
42.1  38
43.6  35

a = 6.716 Å, b = 6.323 Å, c = 8.585 Å
α = 90.00°, β = 109.46°, γ = 90.00°
Atoms (fractional coordinates):
La 0.211 0.250 0.424
La 0.263 0.250 0.948
La 0.737 0.750 0.052
La 0.789 0.750 0.576
As 0.287 0.750 0.730
As 0.713 0.250 0.270
S 0.039 0.750 0.361
S 0.061 0.750 0.921
S 0.484 0.518 0.263
S 0.484 0.982 0.263
S 0.516 0.018 0.737
S 0.516 0.482 0.737
S 0.939 0.250 0.079
S 0.961 0.250 0.639